[1]
Theoretical powder XRD pattern of Ce11Tl9Co4 for Cu Ka, from a PBE-relaxed structure.
Kinematic intensities with the Lorentz-polarization factor, no thermal factor.

Most intense lines, 10 to 90 degrees two-theta, by angle:
2θ 29.15, rel. 22.8; 2θ 30.34, rel. 47.8; 2θ 31.54, rel. 25.0; 2θ 34.04, rel. 87.7; 2θ 34.24, rel. 83.0; 2θ 34.53, rel. 100.0; 2θ 36.82, rel. 39.5; 2θ 49.33, rel. 32.4; 2θ 55.60, rel. 27.7; 2θ 61.42, rel. 30.9

```
Ce11Tl9Co4
1.0
7.512 -10.961 0.000
7.512 10.961 0.000
0.000 0.000 3.694
Ce Tl Co
11 9 4
direct
0.000 0.000 0.000 Ce
0.090 0.427 0.000 Ce
0.149 0.851 0.000 Ce
0.317 0.317 0.000 Ce
0.373 0.627 0.000 Ce
0.427 0.090 0.000 Ce
0.573 0.910 0.000 Ce
0.627 0.373 0.000 Ce
0.683 0.683 0.000 Ce
0.851 0.149 0.000 Ce
0.910 0.573 0.000 Ce
0.083 0.225 0.500 Tl
0.153 0.641 0.500 Tl
0.225 0.083 0.500 Tl
0.359 0.847 0.500 Tl
0.500 0.500 0.500 Tl
0.641 0.153 0.500 Tl
0.775 0.917 0.500 Tl
0.847 0.359 0.500 Tl
0.917 0.775 0.500 Tl
0.244 0.449 0.500 Co
0.449 0.244 0.500 Co
0.551 0.756 0.500 Co
0.756 0.551 0.500 Co
```

=====

[2]
Theoretical powder XRD pattern of Ce4Tl3Co for Cu Ka, from a PBE-relaxed structure.
Kinematic intensities with the Lorentz-polarization factor, no thermal factor.

Most intense lines, 10 to 90 degrees two-theta, by angle:
2θ 29.14, rel. 100.0; 2θ 29.42, rel. 36.7; 2θ 30.91, rel. 72.1; 2θ 31.99, rel. 81.3; 2θ 32.48, rel. 37.5; 2θ 33.64, rel. 43.4; 2θ 33.99, rel. 55.8; 2θ 36.71, rel. 39.9; 2θ 37.26, rel. 48.6; 2θ 40.21, rel. 36.9

```
Ce4Tl3Co
1.0
10.651 0.000 0.000
0.000 6.580 0.000
0.000 0.000 6.072
Ce Tl Co
8 6 2
direct
0.000 0.043 0.000 Ce
0.000 0.406 0.273 Ce
0.199 0.202 0.772 Ce
0.301 0.798 0.272 Ce
0.500 0.594 0.773 Ce
0.500 0.957 0.500 Ce
0.699 0.798 0.272 Ce
0.801 0.202 0.772 Ce
0.000 0.884 0.481 Tl
0.195 0.693 0.792 Tl
0.305 0.307 0.292 Tl
0.500 0.116 0.981 Tl
0.695 0.307 0.292 Tl
0.805 0.693 0.792 Tl
0.000 0.417 0.747 Co
0.500 0.583 0.247 Co
```

=====

[3]
Theoretical powder XRD pattern of Ce5Tl2Co2 for Cu Ka, from a PBE-relaxed structure.
Kinematic intensities with the Lorentz-polarization factor, no thermal factor.

Most intense lines, 10 to 90 degrees two-theta, by angle:
2θ 25.78, rel. 35.5; 2θ 26.52, rel. 40.0; 2θ 27.78, rel. 23.9; 2θ 30.64, rel. 59.3; 2θ 30.84, rel. 73.3; 2θ 31.28, rel. 46.9; 2θ 32.91, rel. 49.8; 2θ 37.32, rel. 100.0; 2θ 50.59, rel. 52.0; 2θ 62.80, rel. 44.1

```
Ce5Tl2Co2
1.0
-3.361 10.887 3.456
3.361 -10.887 3.456
3.361 10.887 -3.456
Ce Tl Co
10 4 4
direct
0.145 0.003 0.141 Ce
0.184 0.434 0.750 Ce
0.250 0.000 0.750 Ce
0.250 0.500 0.250 Ce
0.362 0.003 0.359 Ce
0.638 0.997 0.641 Ce
0.750 0.000 0.250 Ce
0.750 0.500 0.750 Ce
0.816 0.566 0.250 Ce
0.855 0.997 0.859 Ce
0.107 0.500 0.607 Tl
0.394 0.500 0.893 Tl
0.606 0.500 0.107 Tl
0.893 0.500 0.393 Tl
0.000 0.000 0.000 Co
0.194 0.944 0.250 Co
0.500 0.000 0.500 Co
0.806 0.056 0.750 Co
```

=====

[4]
Theoretical powder XRD pattern of Ce3Tm2Co2 for Cu Ka, from a PBE-relaxed structure.
Kinematic intensities with the Lorentz-polarization factor, no thermal factor.

Most intense lines, 10 to 90 degrees two-theta, by angle:
2θ 29.62, rel. 87.4; 2θ 31.86, rel. 88.5; 2θ 32.13, rel. 83.7; 2θ 32.41, rel. 83.7; 2θ 32.52, rel. 100.0; 2θ 34.78, rel. 67.6; 2θ 35.84, rel. 51.7; 2θ 36.45, rel. 77.2; 2θ 37.32, rel. 86.4; 2θ 50.73, rel. 51.7

```
Ce3Tm2Co2
1.0
11.146 0.000 0.000
0.000 3.599 0.000
-2.940 0.000 8.039
Ce Tm Co
6 4 4
direct
0.000 0.000 0.000 Ce
0.119 0.000 0.433 Ce
0.381 0.500 0.567 Ce
0.500 0.500 0.000 Ce
0.619 0.500 0.433 Ce
0.881 0.000 0.567 Ce
0.168 0.500 0.803 Tm
0.332 0.000 0.197 Tm
0.668 0.000 0.803 Tm
0.832 0.500 0.197 Tm
0.125 0.500 0.207 Co
0.375 0.000 0.793 Co
0.625 0.000 0.207 Co
0.875 0.500 0.793 Co
```

=====

[5]
Theoretical powder XRD pattern of CeU2Co9 for Cu Ka, from a PBE-relaxed structure.
Kinematic intensities with the Lorentz-polarization factor, no thermal factor.

Most intense lines, 10 to 90 degrees two-theta, by angle:
2θ 10.88, rel. 35.0; 2θ 21.55, rel. 24.0; 2θ 33.47, rel. 72.5; 2θ 36.47, rel. 51.1; 2θ 37.23, rel. 71.8; 2θ 43.42, rel. 42.6; 2θ 43.59, rel. 100.0; 2θ 46.35, rel. 26.0; 2θ 64.74, rel. 22.6; 2θ 79.34, rel. 23.6

```
CeU2Co9
1.0
2.415 1.395 8.130
-2.415 1.395 8.130
0.000 -2.789 8.130
Ce U Co
1 2 9
direct
0.000 0.000 0.000 Ce
0.140 0.140 0.140 U
0.860 0.860 0.860 U
0.084 0.584 0.584 Co
0.333 0.333 0.333 Co
0.416 0.416 0.916 Co
0.416 0.916 0.416 Co
0.500 0.500 0.500 Co
0.584 0.084 0.584 Co
0.584 0.584 0.084 Co
0.667 0.667 0.667 Co
0.916 0.416 0.416 Co
```

=====

[6]
Theoretical powder XRD pattern of Ce12YCo6 for Cu Ka, from a PBE-relaxed structure.
Kinematic intensities with the Lorentz-polarization factor, no thermal factor.

Most intense lines, 10 to 90 degrees two-theta, by angle:
2θ 29.33, rel. 39.5; 2θ 32.20, rel. 26.0; 2θ 34.86, rel. 100.0; 2θ 48.18, rel. 18.9; 2θ 55.65, rel. 26.1; 2θ 57.41, rel. 15.0; 2θ 59.13, rel. 36.9; 2θ 68.95, rel. 14.6; 2θ 85.56, rel. 14.9; 2θ 87.04, rel. 16.2

```
Ce12YCo6
1.0
-4.815 4.815 4.815
4.815 -4.815 4.815
4.815 4.815 -4.815
Ce Y Co
12 1 6
direct
0.122 0.310 0.812 Ce
0.188 0.498 0.310 Ce
0.188 0.878 0.690 Ce
0.310 0.188 0.498 Ce
0.310 0.812 0.122 Ce
0.498 0.310 0.188 Ce
0.502 0.690 0.812 Ce
0.690 0.188 0.878 Ce
0.690 0.812 0.502 Ce
0.812 0.122 0.310 Ce
0.812 0.502 0.690 Ce
0.878 0.690 0.188 Ce
0.000 0.000 0.000 Y
0.143 0.500 0.643 Co
0.357 0.857 0.500 Co
0.500 0.357 0.857 Co
0.500 0.643 0.143 Co
0.643 0.143 0.500 Co
0.857 0.500 0.357 Co
```

=====

[7]
Theoretical powder XRD pattern of Ce6ZnCo2 for Cu Ka, from a PBE-relaxed structure.
Kinematic intensities with the Lorentz-polarization factor, no thermal factor.

Most intense lines, 10 to 90 degrees two-theta, by angle:
2θ 30.55, rel. 59.7; 2θ 31.99, rel. 41.5; 2θ 32.92, rel. 63.7; 2θ 33.69, rel. 100.0; 2θ 34.97, rel. 33.2; 2θ 35.61, rel. 40.0; 2θ 38.00, rel. 74.3; 2θ 39.32, rel. 25.1; 2θ 44.27, rel. 50.7; 2θ 68.90, rel. 27.9

```
Ce6ZnCo2
1.0
5.018 -2.368 0.000
5.018 2.368 0.000
-0.945 0.000 8.394
Ce Zn Co
6 1 2
direct
0.062 0.062 0.359 Ce
0.300 0.300 0.905 Ce
0.394 0.394 0.319 Ce
0.606 0.606 0.681 Ce
0.700 0.700 0.095 Ce
0.938 0.938 0.641 Ce
0.000 0.000 0.000 Zn
0.265 0.265 0.622 Co
0.735 0.735 0.378 Co
```

=====

[8]
Theoretical powder XRD pattern of Ce4ZnCo4 for Cu Ka, from a PBE-relaxed structure.
Kinematic intensities with the Lorentz-polarization factor, no thermal factor.

Most intense lines, 10 to 90 degrees two-theta, by angle:
2θ 29.43, rel. 14.3; 2θ 29.67, rel. 53.9; 2θ 33.00, rel. 100.0; 2θ 37.05, rel. 37.1; 2θ 47.36, rel. 27.7; 2θ 50.45, rel. 59.0; 2θ 56.89, rel. 22.8; 2θ 61.61, rel. 24.7; 2θ 78.87, rel. 12.4; 2θ 88.22, rel. 11.7

```
Ce4ZnCo4
1.0
-4.292 4.292 2.426
4.292 -4.292 2.426
4.292 4.292 -2.426
Ce Zn Co
4 1 4
direct
0.086 0.708 0.794 Ce
0.292 0.086 0.378 Ce
0.708 0.914 0.622 Ce
0.914 0.292 0.206 Ce
0.500 0.500 0.000 Zn
0.239 0.418 0.657 Co
0.418 0.761 0.179 Co
0.582 0.239 0.821 Co
0.761 0.582 0.343 Co
```

=====

[9]
Theoretical powder XRD pattern of Ce11Zn9Co4 for Cu Ka, from a PBE-relaxed structure.
Kinematic intensities with the Lorentz-polarization factor, no thermal factor.

Most intense lines, 10 to 90 degrees two-theta, by angle:
2θ 33.30, rel. 30.3; 2θ 34.43, rel. 26.7; 2θ 36.19, rel. 93.4; 2θ 36.56, rel. 100.0; 2θ 37.14, rel. 61.4; 2θ 38.86, rel. 32.2; 2θ 40.12, rel. 25.9; 2θ 40.43, rel. 28.3; 2θ 51.22, rel. 30.8; 2θ 60.07, rel. 29.6

```
Ce11Zn9Co4
1.0
6.913 -10.175 0.000
6.913 10.175 0.000
0.000 0.000 3.567
Ce Zn Co
11 9 4
direct
0.000 0.000 0.000 Ce
0.066 0.421 0.000 Ce
0.156 0.844 0.000 Ce
0.312 0.312 0.000 Ce
0.373 0.627 0.000 Ce
0.421 0.066 0.000 Ce
0.579 0.934 0.000 Ce
0.627 0.373 0.000 Ce
0.688 0.688 0.000 Ce
0.844 0.156 0.000 Ce
0.934 0.579 0.000 Ce
0.084 0.223 0.500 Zn
0.168 0.638 0.500 Zn
0.223 0.084 0.500 Zn
0.362 0.832 0.500 Zn
0.500 0.500 0.500 Zn
0.638 0.168 0.500 Zn
0.777 0.916 0.500 Zn
0.832 0.362 0.500 Zn
0.916 0.777 0.500 Zn
0.246 0.448 0.500 Co
0.448 0.246 0.500 Co
0.552 0.754 0.500 Co
0.754 0.552 0.500 Co
```

=====

[10]
Theoretical powder XRD pattern of Ce2ZrCo16 for Cu Ka, from a PBE-relaxed structure.
Kinematic intensities with the Lorentz-polarization factor, no thermal factor.

Most intense lines, 10 to 90 degrees two-theta, by angle:
2θ 30.46, rel. 27.7; 2θ 37.15, rel. 46.7; 2θ 41.28, rel. 38.8; 2θ 43.16, rel. 64.0; 2θ 43.39, rel. 100.0; 2θ 44.06, rel. 29.7; 2θ 48.77, rel. 27.3; 2θ 71.29, rel. 16.3; 2θ 79.15, rel. 19.6; 2θ 80.57, rel. 17.7

```
Ce2ZrCo16
1.0
8.383 0.000 0.000
-4.192 7.260 0.000
0.000 0.000 8.221
Ce Zr Co
4 2 32
direct
0.000 0.000 0.250 Ce
0.000 0.000 0.750 Ce
0.333 0.667 0.270 Ce
0.667 0.333 0.730 Ce
0.333 0.667 0.887 Zr
0.667 0.333 0.113 Zr
0.000 0.500 0.000 Co
0.000 0.500 0.500 Co
0.037 0.364 0.749 Co
0.037 0.673 0.749 Co
0.163 0.325 0.027 Co
0.163 0.837 0.027 Co
0.166 0.332 0.486 Co
0.166 0.834 0.486 Co
0.325 0.163 0.973 Co
0.327 0.364 0.749 Co
0.327 0.963 0.749 Co
0.332 0.166 0.514 Co
0.333 0.667 0.590 Co
0.364 0.037 0.251 Co
0.364 0.327 0.251 Co
0.500 0.000 0.000 Co
0.500 0.000 0.500 Co
0.500 0.500 0.000 Co
0.500 0.500 0.500 Co
0.636 0.673 0.749 Co
0.636 0.963 0.749 Co
0.667 0.333 0.410 Co
0.668 0.834 0.486 Co
0.673 0.037 0.251 Co
0.673 0.636 0.251 Co
0.675 0.837 0.027 Co
0.834 0.166 0.514 Co
0.834 0.668 0.514 Co
0.837 0.163 0.973 Co
0.837 0.675 0.973 Co
0.963 0.327 0.251 Co
0.963 0.636 0.251 Co
```

=====

[11]
Theoretical powder XRD pattern of CeCr6 for Cu Ka, from a PBE-relaxed structure.
Kinematic intensities with the Lorentz-polarization factor, no thermal factor.

Most intense lines, 10 to 90 degrees two-theta, by angle:
2θ 20.17, rel. 2.6; 2θ 28.68, rel. 44.0; 2θ 35.31, rel. 100.0; 2θ 50.80, rel. 5.5; 2θ 55.20, rel. 52.2; 2θ 59.38, rel. 17.4; 2θ 67.25, rel. 13.9; 2θ 71.01, rel. 11.8; 2θ 85.41, rel. 14.3; 2θ 88.93, rel. 10.6

```
CeCr6
1.0
6.226 0.000 0.000
0.000 6.226 0.000
0.000 0.000 6.226
Ce Cr
2 12
direct
0.000 0.000 0.000 Ce
0.500 0.500 0.500 Ce
0.000 0.250 0.500 Cr
0.000 0.500 0.250 Cr
0.000 0.500 0.750 Cr
0.000 0.750 0.500 Cr
0.250 0.000 0.500 Cr
0.250 0.500 0.000 Cr
0.500 0.000 0.250 Cr
0.500 0.000 0.750 Cr
0.500 0.250 0.000 Cr
0.500 0.750 0.000 Cr
0.750 0.000 0.500 Cr
0.750 0.500 0.000 Cr
```

=====

[12]
Theoretical powder XRD pattern of Ce2DyCr2N6 for Cu Ka, from a PBE-relaxed structure.
Kinematic intensities with the Lorentz-polarization factor, no thermal factor.

Most intense lines, 10 to 90 degrees two-theta, by angle:
2θ 19.22, rel. 23.8; 2θ 27.15, rel. 14.4; 2θ 31.00, rel. 100.0; 2θ 32.47, rel. 85.3; 2θ 45.51, rel. 40.4; 2θ 54.19, rel. 21.1; 2θ 57.01, rel. 35.1; 2θ 57.93, rel. 16.2; 2θ 74.19, rel. 16.0; 2θ 76.60, rel. 14.4

```
Ce2DyCr2N6
1.0
2.757 1.592 6.034
-2.757 1.592 6.034
0.000 -3.184 6.034
Ce Dy Cr N
2 1 2 6
direct
0.206 0.206 0.206 Ce
0.794 0.794 0.794 Ce
0.000 0.000 0.000 Dy
0.401 0.401 0.401 Cr
0.599 0.599 0.599 Cr
0.232 0.736 0.736 N
0.264 0.264 0.768 N
0.264 0.768 0.264 N
0.736 0.232 0.736 N
0.736 0.736 0.232 N
0.768 0.264 0.264 N
```